Diffraction record for La3Mn2Sb3O14. The powder diffraction line list is theoretical, not measured: it uses a crystal structure in Alexandria, relaxed with PBE+U and a wavelength of 1.5418 Å.

Main lines, by intensity (2θ from 10° to 80°):
2θ = 28.79°, I = 100; 2θ = 33.67°, I = 41; 2θ = 47.67°, I = 34; 2θ = 29.84°, I = 31; 2θ = 49.04°, I = 29; 2θ = 57.26°, I = 27; 2θ = 56.64°, I = 15; 2θ = 58.47°, I = 14; 2θ = 77.09°, I = 12; 2θ = 16.65°, I = 10

Structure:
abc: 7.6313 7.6313 17.9671
angles: 90.00 90.00 120.00
Space group R-3m (No. 166, hexagonal axes)
Unique sites:
La: 0.0000 0.5000 0.0000 (multiplicity 9)
Mn: 0.0000 0.0000 0.0000 (multiplicity 3)
Mn: 0.0000 0.0000 0.5000 (multiplicity 3)
Sb: 0.0000 0.5000 0.5000 (multiplicity 9)
O: 0.0000 0.0000 0.3853 (multiplicity 6)
O: 0.0383 0.5191 0.6088 (multiplicity 18)
O: 0.0683 0.5342 0.8526 (multiplicity 18)